No. 1
This entry pairs a crystal structure of Na5Bi6Pb with its calculated PXRD pattern. Radiation: Cu Kα, 1.54184 Å. Structure: the PBE geometry in Alexandria.
Intensities are scaled so that the largest is 100.

Atomic structure:
a = 4.901 Å, b = 9.904 Å, c = 7.700 Å
α = 90.00°, β = 107.34°, γ = 90.00°
Atoms (fractional coordinates):
Na 0.000 0.000 0.000
Na 0.331 0.000 0.666
Na 0.332 0.500 0.666
Na 0.668 0.500 0.334
Na 0.669 0.000 0.334
Bi 0.172 0.249 0.337
Bi 0.172 0.751 0.337
Bi 0.500 0.247 0.000
Bi 0.500 0.753 0.000
Bi 0.828 0.249 0.663
Bi 0.828 0.751 0.663
Pb 0.000 0.500 0.000

Largest 10 diffraction maxima, by angle, 10° ≤ 2θ ≤ 90°:
2θ/deg, I (rel.)
17.9, 63
25.4, 28
31.3, 100
31.7, 96
36.3, 34
36.7, 67
41.1, 33
52.5, 48
62.4, 43
63.2, 28


No. 2
This entry pairs a crystal structure of NaBi6Pb12 with its calculated PXRD pattern. Radiation: Cu Kα, 1.54184 Å. Structure: the PBE geometry in Alexandria.
Intensities are scaled so that the largest is 100.

Atomic structure:
a = 8.497 Å, b = 8.497 Å, c = 8.497 Å
α = 90.68°, β = 90.68°, γ = 90.68°
Atoms (fractional coordinates):
Na 0.000 0.000 0.000
Bi 0.133 0.278 0.753
Bi 0.247 0.867 0.722
Bi 0.278 0.753 0.133
Bi 0.722 0.247 0.867
Bi 0.753 0.133 0.278
Bi 0.867 0.722 0.247
Pb 0.043 0.379 0.149
Pb 0.149 0.043 0.379
Pb 0.203 0.548 0.473
Pb 0.379 0.149 0.043
Pb 0.452 0.527 0.797
Pb 0.473 0.203 0.548
Pb 0.527 0.797 0.452
Pb 0.548 0.473 0.203
Pb 0.621 0.851 0.957
Pb 0.797 0.452 0.527
Pb 0.851 0.957 0.621
Pb 0.957 0.621 0.851

Largest 10 diffraction maxima, by angle, 10° ≤ 2θ ≤ 90°:
2θ/deg, I (rel.)
23.5, 18
25.5, 14
31.4, 100
31.6, 53
31.9, 38
33.2, 55
33.5, 54
54.8, 18
58.2, 20
68.0, 16


No. 3
This entry pairs a crystal structure of NaBi6Pb8 with its calculated PXRD pattern. Radiation: Cu Kα, 1.54184 Å. Structure: the PBE geometry in Alexandria.
Intensities are scaled so that the largest is 100.

Atomic structure:
a = 9.008 Å, b = 9.008 Å, c = 9.008 Å
α = 62.17°, β = 62.17°, γ = 62.17°
Atoms (fractional coordinates):
Na 0.000 0.000 0.000
Bi 0.066 0.729 0.412
Bi 0.271 0.588 0.934
Bi 0.412 0.066 0.729
Bi 0.588 0.934 0.271
Bi 0.729 0.412 0.066
Bi 0.934 0.271 0.588
Pb 0.117 0.441 0.786
Pb 0.214 0.883 0.559
Pb 0.335 0.335 0.335
Pb 0.441 0.786 0.117
Pb 0.559 0.214 0.883
Pb 0.665 0.665 0.665
Pb 0.786 0.117 0.441
Pb 0.883 0.559 0.214

Largest 10 diffraction maxima, by angle, 10° ≤ 2θ ≤ 90°:
2θ/deg, I (rel.)
19.1, 28
22.7, 23
31.3, 100
33.4, 94
41.9, 15
46.4, 34
54.4, 18
58.4, 35
59.6, 18
78.8, 15


No. 4
This entry pairs a crystal structure of NaBi4Pb2 with its calculated PXRD pattern. Radiation: Cu Kα, 1.54184 Å. Structure: the PBE geometry in Alexandria.
Intensities are scaled so that the largest is 100.

Atomic structure:
a = 6.946 Å, b = 6.934 Å, c = 6.855 Å
α = 60.49°, β = 60.32°, γ = 59.19°
Atoms (fractional coordinates):
Na 0.000 0.000 0.000
Bi 0.005 0.500 0.995
Bi 0.500 0.005 0.500
Bi 0.500 0.994 0.006
Bi 0.994 0.500 0.500
Pb 0.002 0.002 0.498
Pb 0.502 0.502 0.998

Largest 10 diffraction maxima, by angle, 10° ≤ 2θ ≤ 90°:
2θ/deg, I (rel.)
18.3, 17
25.7, 16
31.7, 100
36.2, 18
37.0, 17
37.2, 17
62.3, 15
63.4, 14
63.6, 14
66.3, 13


No. 5
This entry pairs a crystal structure of Na4Bi4Pb with its calculated PXRD pattern. Radiation: Cu Kα, 1.54184 Å. Structure: the PBE geometry in Alexandria.
Intensities are scaled so that the largest is 100.

Atomic structure:
a = 7.942 Å, b = 7.942 Å, c = 7.942 Å
α = 95.51°, β = 95.51°, γ = 143.89°
Atoms (fractional coordinates):
Na 0.000 0.316 0.316
Na 0.000 0.684 0.684
Na 0.316 0.000 0.315
Na 0.684 0.000 0.685
Bi 0.336 0.336 0.671
Bi 0.336 0.664 0.000
Bi 0.664 0.336 0.000
Bi 0.664 0.664 0.329
Pb 0.000 0.000 0.000

Largest 10 diffraction maxima, by angle, 10° ≤ 2θ ≤ 90°:
2θ/deg, I (rel.)
11.7, 53
26.0, 30
31.0, 100
35.7, 34
36.5, 16
39.3, 14
52.0, 24
61.2, 29
62.3, 14
64.6, 12


No. 6
This entry pairs a crystal structure of Na3Bi6Pb2 with its calculated PXRD pattern. Radiation: Cu Kα, 1.54184 Å. Structure: the PBE geometry in Alexandria.
Intensities are scaled so that the largest is 100.

Atomic structure:
a = 8.992 Å, b = 8.992 Å, c = 4.846 Å
α = 90.00°, β = 90.00°, γ = 101.02°
Atoms (fractional coordinates):
Na 0.000 0.000 0.000
Na 0.212 0.788 0.500
Na 0.788 0.212 0.500
Bi 0.071 0.357 0.000
Bi 0.357 0.071 0.000
Bi 0.385 0.615 0.000
Bi 0.615 0.385 0.000
Bi 0.643 0.929 0.000
Bi 0.929 0.643 0.000
Pb 0.320 0.320 0.500
Pb 0.680 0.680 0.500

Largest 10 diffraction maxima, by angle, 10° ≤ 2θ ≤ 90°:
2θ/deg, I (rel.)
10.0, 61
15.5, 29
18.3, 50
27.3, 35
30.4, 55
30.5, 93
31.7, 100
36.5, 27
37.1, 40
48.7, 31